(1)
Simulated XRD peak list of PmSmSc2In4 for λ = 1.5418 Å (Cu Kα), from the PBE geometry in Alexandria.
Peak positions follow from Bragg's law for the DFT cell and can differ from measured ones.

Peak list (10 most intense, 2θ from 10° to 90°, by intensity)
2θ (°), intensity
34.19, 100
61.22, 36
49.13, 18
82.19, 15
20.74, 13
72.02, 11
40.33, 8
53.88, 3
75.87, 2
65.36, 2

Structure:
```
data_PmSmSc2In4
_chemical_formula_sum 'Pm3 Sm3 Sc6 In12'
_cell_length_a 5.2422
_cell_length_b 5.2422
_cell_length_c 25.7223
_cell_angle_alpha 90.00
_cell_angle_beta 90.00
_cell_angle_gamma 120.00
_symmetry_space_group_name_H-M 'R -3 m'
_symmetry_Int_Tables_number 166
_symmetry_space_group_name_Hall '-R 3 2"'
loop_
_atom_site_label
_atom_site_type_symbol
_atom_site_fract_x
_atom_site_fract_y
_atom_site_fract_z
_atom_site_occupancy
Pm1 Pm 0.0000 0.0000 0.0000 1
Sm1 Sm 0.0000 0.0000 0.5000 1
Sc1 Sc 0.0000 0.0000 0.2500 1
In1 In 0.0000 0.0000 0.1253 1
In2 In 0.0000 0.0000 0.3752 1
```

---

(2)
Simulated XRD peak list of Ac6Sn5H for λ = 1.5418 Å (Cu Kα), from the PBE geometry in Alexandria.
Peak positions follow from Bragg's law for the DFT cell and can differ from measured ones.

Peak list (10 most intense, 2θ from 10° to 90°, by intensity)
2θ (°), intensity
26.62, 100
38.74, 38
37.30, 28
22.71, 20
63.00, 19
46.34, 15
37.19, 14
60.99, 13
54.82, 10
68.12, 10

Structure:
```
data_Ac6Sn5H
_chemical_formula_sum 'Ac12 Sn10 H2'
_cell_length_a 8.344
_cell_length_b 14.504
_cell_length_c 7.963
_cell_angle_alpha 90.00
_cell_angle_beta 110.49
_cell_angle_gamma 90.00
_symmetry_space_group_name_H-M 'C 1 2/m 1'
_symmetry_Int_Tables_number 12
loop_
_symmetry_equiv_pos_as_xyz
'x,y,z'
'-x,-y,-z'
'-x,y,-z'
'x,-y,z'
'x+1/2,y+1/2,z'
'-x+1/2,-y+1/2,-z'
'-x+1/2,y+1/2,-z'
'x+1/2,-y+1/2,z'
loop_
_atom_site_label
_atom_site_type_symbol
_atom_site_fract_x
_atom_site_fract_y
_atom_site_fract_z
_atom_site_occupancy
Ac1 Ac 0.240 0.000 0.256 1
Ac2 Ac 0.246 0.162 0.749 1
Sn1 Sn 0.000 0.168 0.000 1
Sn2 Sn 0.000 0.333 0.500 1
Sn3 Sn 0.000 0.500 0.000 1
H1 H 0.000 0.000 0.500 1
```